1.
Computed PXRD pattern of Na2MgMn2O4 for Cu Kα, from DFT lattice parameters and positions (PBE+U).
Kinematic intensities with the Lorentz-polarization factor, no thermal factor.

a b c (Å): 5.561 3.171 6.360
angles (deg): 90.00 90.08 90.00
Space group Pm (No. 6)
Symmetry-distinct sites (fractional):
Na 0.000 0.000 0.000
Na 0.280 0.500 0.749
Mg 0.622 0.500 0.040
Mn 0.247 0.500 0.323
Mn 0.754 0.000 0.532
O 0.365 0.000 0.508
O 0.400 0.000 0.049
O 0.823 0.500 0.773
O 0.869 0.500 0.275

Peak list (6 most intense, 10° ≤ 2θ ≤ 90°, sorted by position)
2θ 32.46, intensity 824, hkl 1 0 2
2θ 35.23, intensity 555, hkl 2 0 -1
2θ 35.51, intensity 878, hkl 1 1 -1
2θ 40.16, intensity 1000, hkl 0 1 2
2θ 52.38, intensity 521, hkl 2 1 2
2θ 57.58, intensity 499, hkl 3 1 0

=====

2.
Computed PXRD pattern of Na8MgMn2O8 for Cu Kα, from DFT lattice parameters and positions (PBE+U).
Kinematic intensities with the Lorentz-polarization factor, no thermal factor.

a b c (Å): 5.479 6.076 9.236
angles (deg): 72.56 85.17 69.77
Space group P1 (No. 1)
Symmetry-distinct sites (fractional):
Na 0.000 0.000 0.000
Na 0.001 0.771 0.440
Na 0.487 0.507 0.007
Na 0.491 0.063 0.831
Na 0.518 0.669 0.654
Na 0.645 0.473 0.375
Na 0.984 0.572 0.853
Na 0.998 0.353 0.202
Mg 0.426 0.115 0.447
Mn 0.510 0.988 0.176
Mn 0.961 0.129 0.665
O 0.068 0.337 0.474
O 0.198 0.850 0.801
O 0.270 0.220 0.023
O 0.401 0.835 0.387
O 0.603 0.215 0.249
O 0.707 0.741 0.083
O 0.711 0.992 0.600
O 0.792 0.321 0.794

Peak list (6 most intense, 10° ≤ 2θ ≤ 90°, sorted by position)
2θ 16.24, intensity 456, hkl 0 1 0
2θ 19.69, intensity 329, hkl 1 1 1
2θ 32.28, intensity 301, hkl 1 1 3
2θ 34.91, intensity 326, hkl 2 0 0
2θ 37.37, intensity 1000, hkl -1 1 3
2θ 38.21, intensity 348, hkl 2 2 1

=====

3.
Computed PXRD pattern of Na8MgMn2O8 for Cu Kα, from DFT lattice parameters and positions (PBE+U).
Kinematic intensities with the Lorentz-polarization factor, no thermal factor.

a b c (Å): 5.896 5.928 8.807
angles (deg): 71.75 77.10 70.61
Space group P1 (No. 1)
Symmetry-distinct sites (fractional):
Na 0.000 0.000 0.000
Na 0.004 0.581 0.865
Na 0.085 0.879 0.546
Na 0.485 0.949 0.228
Na 0.520 0.087 0.825
Na 0.534 0.429 0.063
Na 0.546 0.235 0.457
Na 0.885 0.694 0.375
Mg 0.092 0.266 0.654
Mn 0.515 0.632 0.706
Mn 0.986 0.310 0.213
O 0.120 0.280 0.418
O 0.234 0.896 0.767
O 0.251 0.219 0.052
O 0.319 0.465 0.646
O 0.718 0.836 0.619
O 0.754 0.625 0.158
O 0.773 0.345 0.798
O 0.794 0.103 0.234

Peak list (6 most intense, 10° ≤ 2θ ≤ 90°, sorted by position)
2θ 17.11, intensity 647, hkl 0 1 1
2θ 21.44, intensity 624, hkl 0 0 2
2θ 32.51, intensity 680, hkl 2 0 0
2θ 33.69, intensity 547, hkl 1 1 -2
2θ 35.46, intensity 1000, hkl 1 -1 2
2θ 40.32, intensity 704, hkl -1 1 3